[1]
For Li4GeSe4, a DFT-relaxed cell (PBE, Alexandria) gives the computed powder XRD pattern in this record (Cu Kα (weighted mean of Kα1 and Kα2)).
Neutral-atom scattering factors, no anomalous dispersion.

Largest 6 diffraction maxima, sorted by position, 2θ = 10–80°:
2θ/deg  I (rel.)
16.6  41
25.0  55
25.5  100
27.8  44
28.4  47
44.6  57

a = 7.006 Å, b = 7.006 Å, c = 8.274 Å
α = 90.00°, β = 90.00°, γ = 87.01°
Atoms (fractional coordinates):
Li  0.083  0.611  0.750
Li  0.331  0.331  0.000
Li  0.331  0.331  0.500
Li  0.389  0.917  0.750
Li  0.611  0.083  0.250
Li  0.669  0.669  0.000
Li  0.669  0.669  0.500
Li  0.917  0.389  0.250
Ge  0.160  0.840  0.250
Ge  0.840  0.160  0.750
Se  0.170  0.228  0.750
Se  0.228  0.170  0.250
Se  0.301  0.699  0.010
Se  0.301  0.699  0.490
Se  0.699  0.301  0.510
Se  0.699  0.301  0.990
Se  0.772  0.830  0.750
Se  0.830  0.772  0.250

[2]
For KYSn, a DFT-relaxed cell (PBE, Alexandria) gives the computed powder XRD pattern in this record (Cu Kα (weighted mean of Kα1 and Kα2)).
Neutral-atom scattering factors, no anomalous dispersion.

Largest 6 diffraction maxima, sorted by position, 2θ = 10–80°:
2θ/deg  I (rel.)
13.4  98
27.0  43
30.1  29
33.1  100
40.9  26
51.7  28

a = 7.563 Å, b = 4.978 Å, c = 7.389 Å
α = 90.00°, β = 119.17°, γ = 90.00°
Atoms (fractional coordinates):
K  0.000  0.003  0.250
K  0.000  0.997  0.750
Y  0.500  0.500  0.000
Y  0.500  0.500  0.500
Sn  0.500  0.000  0.250
Sn  0.500  0.000  0.750

[3]
For CeDyTm, a DFT-relaxed cell (PBE, Alexandria) gives the computed powder XRD pattern in this record (Cu Kα (weighted mean of Kα1 and Kα2)).
Neutral-atom scattering factors, no anomalous dispersion.

Largest 6 diffraction maxima, sorted by position, 2θ = 10–80°:
2θ/deg  I (rel.)
31.4  100
36.4  50
52.4  36
62.3  42
65.4  9
77.2  6

a = 3.492 Å, b = 3.492 Å, c = 8.570 Å
α = 90.00°, β = 90.00°, γ = 120.00°
Atoms (fractional coordinates):
Ce  0.000  0.000  0.000
Dy  0.333  0.667  0.667
Tm  0.667  0.333  0.329

[4]
For Ac6Ag5Ge, a DFT-relaxed cell (PBE, Alexandria) gives the computed powder XRD pattern in this record (Cu Kα (weighted mean of Kα1 and Kα2)).
Neutral-atom scattering factors, no anomalous dispersion.

Largest 6 diffraction maxima, sorted by position, 2θ = 10–80°:
2θ/deg  I (rel.)
22.5  21
31.9  25
32.1  100
32.2  25
45.9  28
57.3  29

a = 8.869 Å, b = 8.869 Å, c = 7.890 Å
α = 90.00°, β = 90.00°, γ = 143.42°
Atoms (fractional coordinates):
Ac  0.000  0.000  0.244
Ac  0.000  0.000  0.756
Ac  0.336  0.664  0.248
Ac  0.336  0.664  0.752
Ac  0.664  0.336  0.248
Ac  0.664  0.336  0.752
Ag  0.169  0.831  0.500
Ag  0.172  0.828  0.000
Ag  0.500  0.500  0.500
Ag  0.828  0.172  0.000
Ag  0.831  0.169  0.500
Ge  0.500  0.500  0.000

[5]
For SrGa2Ru2, a DFT-relaxed cell (PBE, Alexandria) gives the computed powder XRD pattern in this record (Cu Kα (weighted mean of Kα1 and Kα2)).
Neutral-atom scattering factors, no anomalous dispersion.

Largest 6 diffraction maxima, sorted by position, 2θ = 10–80°:
2θ/deg  I (rel.)
18.3  81
32.9  100
33.3  67
35.9  85
44.6  47
46.1  81

a = 8.369 Å, b = 7.082 Å, c = 6.161 Å
α = 78.05°, β = 55.88°, γ = 46.07°
Atoms (fractional coordinates):
Sr  0.125  0.125  0.125
Sr  0.875  0.875  0.875
Ga  0.177  0.573  0.177
Ga  0.427  0.823  0.427
Ga  0.573  0.177  0.573
Ga  0.823  0.427  0.823
Ru  0.269  0.269  0.481
Ru  0.481  0.481  0.269
Ru  0.519  0.519  0.731
Ru  0.731  0.731  0.519

[6]
For Ni5Pt7, a DFT-relaxed cell (PBE, Alexandria) gives the computed powder XRD pattern in this record (Cu Kα (weighted mean of Kα1 and Kα2)).
Neutral-atom scattering factors, no anomalous dispersion.

Largest 6 diffraction maxima, sorted by position, 2θ = 10–80°:
2θ/deg  I (rel.)
32.2  22
40.9  100
41.0  95
47.5  62
47.8  32
69.7  48

a = 8.537 Å, b = 8.537 Å, c = 3.805 Å
α = 90.00°, β = 90.00°, γ = 142.96°
Atoms (fractional coordinates):
Ni  0.000  0.000  0.000
Ni  0.000  0.500  0.500
Ni  0.166  0.834  0.000
Ni  0.500  0.000  0.500
Ni  0.834  0.166  0.000
Pt  0.156  0.331  0.500
Pt  0.323  0.677  0.000
Pt  0.331  0.156  0.500
Pt  0.500  0.500  0.000
Pt  0.669  0.844  0.500
Pt  0.677  0.323  0.000
Pt  0.844  0.669  0.500

[7]
For Ca4Zn51, a DFT-relaxed cell (PBE, Alexandria) gives the computed powder XRD pattern in this record (Cu Kα (weighted mean of Kα1 and Kα2)).
Neutral-atom scattering factors, no anomalous dispersion.

Largest 6 diffraction maxima, sorted by position, 2θ = 10–80°:
2θ/deg  I (rel.)
14.6  51
32.9  38
36.1  60
44.0  100
44.1  98
44.7  71

a = 14.855 Å, b = 14.855 Å, c = 14.855 Å
α = 33.72°, β = 33.72°, γ = 33.72°
Atoms (fractional coordinates):
Ca  0.125  0.125  0.125
Ca  0.375  0.375  0.375
Ca  0.625  0.625  0.625
Ca  0.875  0.875  0.875
Zn  0.000  0.000  0.000
Zn  0.023  0.780  0.420
Zn  0.031  0.271  0.668
Zn  0.040  0.152  0.403
Zn  0.082  0.479  0.720
Zn  0.092  0.210  0.849
Zn  0.099  0.459  0.340
Zn  0.151  0.908  0.790
Zn  0.152  0.403  0.040
Zn  0.182  0.532  0.756
Zn  0.210  0.849  0.092
Zn  0.220  0.580  0.977
Zn  0.244  0.818  0.468
Zn  0.249  0.249  0.249
Zn  0.271  0.668  0.031
Zn  0.280  0.918  0.521
Zn  0.294  0.645  0.416
Zn  0.332  0.969  0.729
Zn  0.340  0.099  0.459
Zn  0.355  0.584  0.706
Zn  0.403  0.040  0.152
Zn  0.416  0.294  0.645
Zn  0.420  0.023  0.780
Zn  0.459  0.340  0.099
Zn  0.468  0.244  0.818
Zn  0.479  0.720  0.082
Zn  0.521  0.280  0.918
Zn  0.532  0.756  0.182
Zn  0.541  0.660  0.901
Zn  0.580  0.977  0.220
Zn  0.584  0.706  0.355
Zn  0.597  0.960  0.848
Zn  0.645  0.416  0.294
Zn  0.660  0.901  0.541
Zn  0.668  0.031  0.271
Zn  0.706  0.355  0.584
Zn  0.720  0.082  0.479
Zn  0.729  0.332  0.969
Zn  0.751  0.751  0.751
Zn  0.756  0.182  0.532
Zn  0.780  0.420  0.023
Zn  0.790  0.151  0.908
Zn  0.818  0.468  0.244
Zn  0.848  0.597  0.960
Zn  0.849  0.092  0.210
Zn  0.901  0.541  0.660
Zn  0.908  0.790  0.151
Zn  0.918  0.521  0.280
Zn  0.960  0.848  0.597
Zn  0.969  0.729  0.332
Zn  0.977  0.220  0.580

[8]
For ScCoRu2, a DFT-relaxed cell (PBE, Alexandria) gives the computed powder XRD pattern in this record (Cu Kα (weighted mean of Kα1 and Kα2)).
Neutral-atom scattering factors, no anomalous dispersion.

Largest 6 diffraction maxima, sorted by position, 2θ = 10–80°:
2θ/deg  I (rel.)
14.3  6
28.9  13
41.3  100
53.4  4
59.8  15
75.3  29

a = 3.090 Å, b = 3.090 Å, c = 6.185 Å
α = 90.00°, β = 90.00°, γ = 90.00°
Atoms (fractional coordinates):
Sc  0.000  0.000  0.000
Co  0.000  0.000  0.500
Ru  0.500  0.500  0.275
Ru  0.500  0.500  0.725

[9]
For Na3Tl2Cd3, a DFT-relaxed cell (PBE, Alexandria) gives the computed powder XRD pattern in this record (Cu Kα (weighted mean of Kα1 and Kα2)).
Neutral-atom scattering factors, no anomalous dispersion.

Largest 6 diffraction maxima, sorted by position, 2θ = 10–80°:
2θ/deg  I (rel.)
21.2  100
22.7  58
31.3  98
35.0  75
41.3  80
67.1  47

a = 7.824 Å, b = 7.824 Å, c = 4.187 Å
α = 90.00°, β = 90.00°, γ = 120.00°
Atoms (fractional coordinates):
Na  0.000  0.386  0.000
Na  0.386  0.000  0.000
Na  0.614  0.614  0.000
Tl  0.333  0.667  0.500
Tl  0.667  0.333  0.500
Cd  0.000  0.776  0.500
Cd  0.224  0.224  0.500
Cd  0.776  0.000  0.500

[10]
For Re3O8, a DFT-relaxed cell (PBE, Alexandria) gives the computed powder XRD pattern in this record (Cu Kα (weighted mean of Kα1 and Kα2)).
Neutral-atom scattering factors, no anomalous dispersion.

Largest 6 diffraction maxima, sorted by position, 2θ = 10–80°:
2θ/deg  I (rel.)
18.3  40
25.5  78
27.0  66
37.1  100
52.8  25
53.0  23

a = 5.583 Å, b = 5.583 Å, c = 4.795 Å
α = 92.87°, β = 92.87°, γ = 60.37°
Atoms (fractional coordinates):
Re  0.000  0.000  0.000
Re  0.000  0.500  0.500
Re  0.500  0.000  0.500
O  0.124  0.671  0.779
O  0.150  0.150  0.728
O  0.329  0.876  0.221
O  0.348  0.348  0.307
O  0.652  0.652  0.693
O  0.671  0.124  0.779
O  0.850  0.850  0.272
O  0.876  0.329  0.221

[11]
For Al2TeSO9, a DFT-relaxed cell (PBE, Alexandria) gives the computed powder XRD pattern in this record (Cu Kα (weighted mean of Kα1 and Kα2)).
Neutral-atom scattering factors, no anomalous dispersion.

Largest 6 diffraction maxima, sorted by position, 2θ = 10–80°:
2θ/deg  I (rel.)
12.9  87
16.1  43
19.2  52
20.6  100
25.1  48
28.3  42

a = 5.071 Å, b = 9.236 Å, c = 6.926 Å
α = 90.00°, β = 97.01°, γ = 90.00°
Atoms (fractional coordinates):
Al  0.239  0.070  0.422
Al  0.239  0.430  0.422
Al  0.761  0.570  0.578
Al  0.761  0.930  0.578
Te  0.314  0.750  0.363
Te  0.686  0.250  0.637
S  0.064  0.250  0.053
S  0.936  0.750  0.947
O  0.052  0.118  0.176
O  0.052  0.382  0.176
O  0.061  0.611  0.441
O  0.061  0.889  0.441
O  0.214  0.750  0.073
O  0.270  0.250  0.930
O  0.417  0.250  0.405
O  0.499  0.065  0.664
O  0.499  0.435  0.664
O  0.501  0.565  0.336
O  0.501  0.935  0.336
O  0.583  0.750  0.595
O  0.730  0.750  0.070
O  0.786  0.250  0.927
O  0.939  0.111  0.559
O  0.939  0.389  0.559
O  0.948  0.618  0.824
O  0.948  0.882  0.824

[12]
For Ce5N, a DFT-relaxed cell (PBE, Alexandria) gives the computed powder XRD pattern in this record (Cu Kα (weighted mean of Kα1 and Kα2)).
Neutral-atom scattering factors, no anomalous dispersion.

Largest 6 diffraction maxima, sorted by position, 2θ = 10–80°:
2θ/deg  I (rel.)
30.0  45
32.4  54
32.7  100
36.6  75
44.8  30
67.5  23

a = 5.518 Å, b = 15.740 Å, c = 3.220 Å
α = 90.00°, β = 90.00°, γ = 90.00°
Atoms (fractional coordinates):
Ce  0.000  0.000  0.000
Ce  0.000  0.206  0.500
Ce  0.000  0.390  0.000
Ce  0.000  0.610  0.000
Ce  0.000  0.794  0.500
Ce  0.500  0.110  0.000
Ce  0.500  0.294  0.500
Ce  0.500  0.500  0.000
Ce  0.500  0.706  0.500
Ce  0.500  0.890  0.000
N  0.000  0.500  0.500
N  0.500  0.000  0.500